Record 1
This entry pairs a crystal structure of Cs2Cr3F10 with its simulated X-ray powder pattern. Radiation: Cu Kα. Structure: a crystal structure in Alexandria, relaxed with PBE+U.

Top 10 peaks for 2θ from 15° to 90°, sorted by position:
26.3°, I 68
26.4°, I 100
26.6°, I 56
27.6°, I 27
30.2°, I 16
34.3°, I 17
36.9°, I 29
38.7°, I 49
53.3°, I 18
57.0°, I 15

Crystal structure
```
30
Lattice="10.019 -3.229 0.000 10.019 3.229 0.000 -3.245 0.000 7.433" Properties=species:S:1:pos:R:3 pbc="T T T"
Cs 2.241 0.000 0.070
Cs 2.356 0.000 4.489
Cs 14.436 0.000 2.944
Cs 14.551 0.000 7.363
Cr 8.396 1.638 3.717
Cr 5.897 0.000 1.065
Cr 5.908 0.000 6.095
Cr 10.884 0.000 1.338
Cr 10.895 0.000 6.368
Cr 8.396 -1.638 3.717
F 5.009 1.614 0.000
F -0.843 0.000 2.715
F 5.168 1.382 5.084
F 6.785 1.355 2.113
F 4.375 0.000 2.158
F 10.019 1.244 0.000
F 4.228 0.000 7.207
F 10.007 1.355 5.320
F 11.624 1.382 2.349
F 7.517 0.000 4.822
F 5.009 -1.614 0.000
F 9.275 0.000 2.611
F 5.168 -1.382 5.084
F 6.785 -1.355 2.113
F 12.564 0.000 0.226
F 10.019 -1.244 0.000
F 12.417 0.000 5.275
F 10.007 -1.355 5.320
F 11.624 -1.382 2.349
F 17.635 0.000 4.718
```

---

Record 2
This entry pairs a crystal structure of Cs2Cr3F8 with its simulated X-ray powder pattern. Radiation: Cu Kα. Structure: a crystal structure in Alexandria, relaxed with PBE+U.

Top 10 peaks for 2θ from 15° to 90°, sorted by position:
20.1°, I 58
23.5°, I 86
24.4°, I 89
25.2°, I 100
27.5°, I 25
29.6°, I 64
30.8°, I 47
37.9°, I 45
45.5°, I 61
47.9°, I 40

Crystal structure
```
13
Lattice="6.865 -3.416 0.000 6.865 3.416 0.000 -1.919 0.000 5.507" Properties=species:S:1:pos:R:3 pbc="T T T"
Cs 2.604 0.000 0.959
Cs 9.208 0.000 4.548
Cr 5.906 1.704 2.754
Cr 6.865 0.000 0.000
Cr 5.906 -1.704 2.754
F 0.408 0.000 2.766
F 5.617 1.457 0.740
F 6.194 1.457 4.767
F 4.515 0.000 3.166
F 7.296 0.000 2.341
F 5.617 -1.457 0.740
F 6.194 -1.457 4.767
F 11.403 0.000 2.741
```

---

Record 3
This entry pairs a crystal structure of CsCr2H2F6 with its simulated X-ray powder pattern. Radiation: Cu Kα. Structure: a crystal structure in Alexandria, relaxed with PBE+U.

Top 10 peaks for 2θ from 15° to 90°, sorted by position:
19.9°, I 100
26.7°, I 50
27.3°, I 22
28.8°, I 89
30.2°, I 24
32.8°, I 73
38.7°, I 21
40.5°, I 34
41.9°, I 26
56.4°, I 21

Crystal structure
```
11
Lattice="5.455 0.000 0.000 -1.596 5.478 0.000 -2.051 -2.282 5.762" Properties=species:S:1:pos:R:3 pbc="T T T"
Cs 0.000 0.000 0.000
Cr -0.062 0.391 4.087
Cr 1.871 2.805 1.674
H -0.887 2.986 3.102
H 2.695 0.210 2.659
F -1.989 3.133 3.162
F -1.348 0.812 5.695
F 0.285 2.816 3.151
F 1.523 0.381 2.611
F 3.157 2.384 0.067
F 3.798 0.064 2.600
```

---

Record 4
This entry pairs a crystal structure of CsCrHgF6 with its simulated X-ray powder pattern. Radiation: Cu Kα. Structure: a crystal structure in Alexandria, relaxed with PBE+U.

Top 10 peaks for 2θ from 15° to 90°, sorted by position:
16.6°, I 28
23.0°, I 25
23.2°, I 21
26.9°, I 100
27.1°, I 28
27.6°, I 52
28.3°, I 30
28.5°, I 41
42.9°, I 31
47.5°, I 43

Crystal structure
```
18
Lattice="-3.867 3.905 5.338 3.867 -3.905 5.338 3.867 3.905 -5.338" Properties=species:S:1:pos:R:3 pbc="T T T"
Cs 0.000 1.953 1.084
Cs 3.867 1.953 4.254
Cr 1.933 1.953 -2.669
Cr 1.933 -1.953 2.669
Hg 3.867 0.000 0.000
Hg 0.000 0.000 5.338
F 3.867 1.953 -2.452
F 1.863 -0.585 1.293
F 5.870 -0.585 1.293
F 1.863 3.320 -1.293
F 2.003 -0.585 4.045
F 3.867 1.953 1.096
F 0.000 1.953 4.243
F 1.863 4.490 1.293
F 2.003 0.585 6.632
F -2.003 4.490 4.045
F 2.003 4.490 4.045
F 0.000 1.953 7.790
```

---

Record 5
This entry pairs a crystal structure of CsCrMoF6 with its simulated X-ray powder pattern. Radiation: Cu Kα. Structure: a crystal structure in Alexandria, relaxed with PBE+U.

Top 10 peaks for 2θ from 15° to 90°, sorted by position:
22.6°, I 100
28.1°, I 9
31.0°, I 25
38.7°, I 19
42.3°, I 42
46.5°, I 11
50.4°, I 21
55.1°, I 12
57.0°, I 9
67.2°, I 9

Crystal structure
```
18
Lattice="5.772 0.000 0.000 -2.886 4.999 0.000 0.000 0.000 12.721" Properties=species:S:1:pos:R:3 pbc="T T T"
Cs 0.000 0.000 0.000
Cs 0.000 0.000 6.361
Cr 0.000 3.332 3.180
Cr 2.886 1.666 9.541
Mo 0.000 3.332 9.541
Mo 2.886 1.666 3.180
F -1.059 1.883 8.424
F -1.785 3.139 10.658
F 1.059 1.883 10.658
F -0.725 4.974 8.424
F 2.161 0.024 2.064
F 1.101 1.859 4.297
F 1.785 3.139 8.424
F 0.725 4.974 10.658
F 3.611 0.024 4.297
F 1.826 3.115 2.064
F 4.670 1.859 2.064
F 3.945 3.115 4.297
```

---

Record 6
This entry pairs a crystal structure of Cs3NaCr2F9 with its simulated X-ray powder pattern. Radiation: Cu Kα. Structure: a crystal structure in Alexandria, relaxed with PBE+U.

Top 10 peaks for 2θ from 15° to 90°, sorted by position:
20.2°, I 42
28.7°, I 100
28.8°, I 97
35.5°, I 47
41.2°, I 78
50.8°, I 19
51.1°, I 58
59.5°, I 22
59.7°, I 24
82.4°, I 20

Crystal structure
```
15
Lattice="6.192 0.000 0.000 -3.096 5.362 0.000 0.000 0.000 7.627" Properties=species:S:1:pos:R:3 pbc="T T T"
Cs 0.000 0.000 0.000
Cs 0.000 3.575 4.986
Cs 3.096 1.787 2.641
Na 0.000 0.000 3.813
Cr 0.000 3.575 1.188
Cr 3.096 1.787 6.438
F -1.548 2.681 0.000
F 0.000 1.934 2.346
F -1.421 4.396 2.346
F 1.675 0.967 5.280
F 3.096 0.000 0.000
F 1.548 2.681 0.000
F 1.421 4.396 2.346
F 4.517 0.967 5.280
F 3.096 3.429 5.280
```

---

Repeat the fifth record exactly.
This entry pairs a crystal structure of CsCrMoF6 with its simulated X-ray powder pattern. Radiation: Cu Kα. Structure: a crystal structure in Alexandria, relaxed with PBE+U.

Top 10 peaks for 2θ from 15° to 90°, sorted by position:
22.6°, I 100
28.1°, I 9
31.0°, I 25
38.7°, I 19
42.3°, I 42
46.5°, I 11
50.4°, I 21
55.1°, I 12
57.0°, I 9
67.2°, I 9

Crystal structure
```
18
Lattice="5.772 0.000 0.000 -2.886 4.999 0.000 0.000 0.000 12.721" Properties=species:S:1:pos:R:3 pbc="T T T"
Cs 0.000 0.000 0.000
Cs 0.000 0.000 6.361
Cr 0.000 3.332 3.180
Cr 2.886 1.666 9.541
Mo 0.000 3.332 9.541
Mo 2.886 1.666 3.180
F -1.059 1.883 8.424
F -1.785 3.139 10.658
F 1.059 1.883 10.658
F -0.725 4.974 8.424
F 2.161 0.024 2.064
F 1.101 1.859 4.297
F 1.785 3.139 8.424
F 0.725 4.974 10.658
F 3.611 0.024 4.297
F 1.826 3.115 2.064
F 4.670 1.859 2.064
F 3.945 3.115 4.297
```

---

What is the formula in the first record?
Cs2Cr3F10